[1]
Structure and simulated X-ray diffraction stick pattern of MgCu5Sn (the PBE geometry in Alexandria; Cu Kα X-rays).
Kinematic intensities with the Lorentz-polarization factor, no thermal factor.

Main lines, sorted by position (10 to 90 degrees two-theta):
22.5 deg, I = 69
35.7 deg, I = 28
36.2 deg, I = 30
38.6 deg, I = 29
39.1 deg, I = 66
43.3 deg, I = 65
44.9 deg, I = 32
45.2 deg, I = 92
45.9 deg, I = 100
46.1 deg, I = 34

Structure:
abc: 8.022 5.032 10.440
angles: 90.00 90.00 90.00
Positions (direct):
Mg: 0.237 0.250 0.056
Mg: 0.263 0.750 0.556
Mg: 0.737 0.250 0.444
Mg: 0.763 0.750 0.944
Cu: 0.066 0.502 0.818
Cu: 0.066 0.998 0.818
Cu: 0.069 0.250 0.601
Cu: 0.104 0.750 0.022
Cu: 0.184 0.750 0.253
Cu: 0.316 0.250 0.753
Cu: 0.396 0.250 0.522
Cu: 0.431 0.750 0.101
Cu: 0.434 0.002 0.318
Cu: 0.434 0.498 0.318
Cu: 0.566 0.502 0.682
Cu: 0.566 0.998 0.682
Cu: 0.569 0.250 0.899
Cu: 0.604 0.750 0.478
Cu: 0.684 0.750 0.247
Cu: 0.816 0.250 0.747
Cu: 0.896 0.250 0.978
Cu: 0.931 0.750 0.399
Cu: 0.934 0.002 0.182
Cu: 0.934 0.498 0.182
Sn: 0.131 0.250 0.357
Sn: 0.369 0.750 0.857
Sn: 0.631 0.250 0.143
Sn: 0.869 0.750 0.643

[2]
Structure and simulated X-ray diffraction stick pattern of NaTlCd6 (the PBE geometry in Alexandria; Cu Kα X-rays).
Kinematic intensities with the Lorentz-polarization factor, no thermal factor.

Main lines, sorted by position (10 to 90 degrees two-theta):
17.7 deg, I = 10
28.9 deg, I = 12
34.2 deg, I = 100
35.5 deg, I = 10
35.8 deg, I = 35
40.2 deg, I = 9
46.7 deg, I = 11
58.0 deg, I = 10
63.3 deg, I = 14
70.1 deg, I = 10

Structure:
abc: 5.009 6.360 6.360
angles: 75.96 90.00 90.00
Positions (direct):
Na: 0.000 0.000 0.000
Tl: 0.500 0.781 0.781
Cd: 0.000 0.090 0.485
Cd: 0.000 0.485 0.090
Cd: 0.000 0.577 0.577
Cd: 0.500 0.199 0.199
Cd: 0.500 0.288 0.694
Cd: 0.500 0.694 0.288